This entry pairs a crystal structure of Ho7Ag2Te2 with its simulated PXRD pattern. Radiation: Cu Kα, 1.54184 Å. Structure: DFT lattice parameters and positions (GGA-PBE).

Peak list (10 most intense, 2θ from 10° to 80°, in order of rising 2θ)
2θ = 29.21°, I = 50
2θ = 30.10°, I = 23
2θ = 32.67°, I = 49
2θ = 33.10°, I = 100
2θ = 33.51°, I = 49
2θ = 35.48°, I = 19
2θ = 37.37°, I = 23
2θ = 44.43°, I = 30
2θ = 50.32°, I = 25
2θ = 56.23°, I = 21

Cell and atoms:
```
Ho7Ag2Te2
1.0
-2.0391 7.7996 4.8382
2.0391 -7.7996 4.8382
2.0391 7.7996 -4.8382
Ho Ag Te
7 2 2
direct
0.0000 0.0000 0.0000
0.0612 0.3775 0.6836
0.1064 0.7456 0.3608
0.3848 0.7456 0.6392
0.4646 0.5891 0.8755
0.6939 0.3775 0.3164
0.7136 0.5891 0.1245
0.3122 0.0765 0.2357
0.8409 0.0765 0.7643
0.3398 0.3398 0.0000
0.7394 0.2394 0.5000
```